[1]
Theoretical XRD peak list of Th4OsS5 for a wavelength of 1.5418 Å, from a GGA-PBE-relaxed structure.
Peak positions follow from Bragg's law for the DFT cell and can differ from measured ones.

Structure:
abc: 9.398 9.398 9.398
angles: 154.13 132.69 54.71
Atoms (fractional coordinates):
Th 0.193 0.193 0.000
Th 0.236 0.500 0.736
Th 0.764 0.500 0.264
Th 0.807 0.807 0.000
Os 0.000 0.000 0.000
S 0.077 0.328 0.749
S 0.420 0.672 0.749
S 0.500 0.000 0.500
S 0.580 0.328 0.251
S 0.923 0.672 0.251

Principal peaks in the range 10 to 90 degrees two-theta, by angle:
2θ/deg	I (rel.)
12.9	66
21.3	42
24.2	41
26.5	35
29.3	33
32.2	35
32.3	100
42.0	88



[2]
Theoretical XRD peak list of Ti2OsS2 for a wavelength of 1.5418 Å, from a GGA-PBE-relaxed structure.
Peak positions follow from Bragg's law for the DFT cell and can differ from measured ones.

Structure:
abc: 4.955 4.955 4.955
angles: 123.07 123.07 84.76
Atoms (fractional coordinates):
Ti 0.250 0.750 0.500
Ti 0.750 0.250 0.500
Os 0.000 0.000 0.000
S 0.316 0.316 0.000
S 0.684 0.684 0.000

Principal peaks in the range 10 to 90 degrees two-theta, by angle:
2θ/deg	I (rel.)
22.4	100
26.7	33
36.4	66
38.1	62
41.7	49
44.7	35
57.7	37
67.8	21



[3]
Theoretical XRD peak list of Sb4Os for a wavelength of 1.5418 Å, from a GGA-PBE-relaxed structure.
Peak positions follow from Bragg's law for the DFT cell and can differ from measured ones.

Structure:
abc: 5.171 5.171 5.171
angles: 90.00 90.00 90.00
Atoms (fractional coordinates):
Sb 0.000 0.000 0.000
Sb 0.000 0.500 0.500
Sb 0.500 0.000 0.500
Sb 0.500 0.500 0.000
Os 0.500 0.500 0.500

Principal peaks in the range 10 to 90 degrees two-theta, by angle:
2θ/deg	I (rel.)
17.1	43
24.3	38
29.9	39
34.7	100
38.9	23
49.9	71
62.2	24
83.6	32



[4]
Theoretical XRD peak list of SbOs for a wavelength of 1.5418 Å, from a GGA-PBE-relaxed structure.
Peak positions follow from Bragg's law for the DFT cell and can differ from measured ones.

Structure:
abc: 5.607 5.607 3.736
angles: 90.00 90.00 138.52
Atoms (fractional coordinates):
Sb 0.153 0.847 0.750
Sb 0.847 0.153 0.250
Os 0.419 0.581 0.750
Os 0.581 0.419 0.250

Principal peaks in the range 10 to 90 degrees two-theta, by angle:
2θ/deg	I (rel.)
24.0	24
34.0	84
34.2	36
42.1	100
45.7	24
48.8	20
63.9	23
69.0	14